(1)
Calculated XRD peak list
Compound: Lu3Bi2P
Radiation: CuKα
Structure: a cell relaxed with PBE

Most intense lines, 2θ from 10° to 90°, in order of rising 2θ:
2θ/deg	d [Å]	intensity
29.9	2.992	100
35.4	2.533	13
42.2	2.143	32
43.3	2.089	37
53.5	1.713	20
71.2	1.325	17

Structure:
Lattice parameters (Å, degrees): 4.1780 4.1780 10.6407 90.00 90.00 120.00
Fractional coordinates of all 6 atoms:
Lu: 0.0000 0.0000 0.0000
Lu: 0.3333 0.6667 0.6380
Lu: 0.6667 0.3333 0.3620
Bi: 0.3333 0.6667 0.1783
Bi: 0.6667 0.3333 0.8217
P: 0.0000 0.0000 0.5000

(2)
Calculated XRD peak list
Compound: Tb2HoBi3
Radiation: CuKα
Structure: a cell relaxed with PBE

Most intense lines, 2θ from 10° to 90°, in order of rising 2θ:
2θ/deg	d [Å]	intensity
28.2	3.160	100
40.4	2.234	78
50.0	1.824	28
58.4	1.580	13
66.1	1.413	37
73.4	1.290	21

Structure:
Lattice parameters (Å, degrees): 4.4665 4.4665 10.9560 90.00 90.00 120.00
Fractional coordinates of all 6 atoms:
Tb: 0.3333 0.6667 0.3332
Tb: 0.6667 0.3333 0.6668
Ho: 0.0000 0.0000 0.0000
Bi: 0.0000 0.0000 0.5000
Bi: 0.3333 0.6667 0.8348
Bi: 0.6667 0.3333 0.1652